No. 1
For BePtS, a structure optimized by DFT (PBE) gives the computed powder diffraction line list in this record (copper Kα).
Peak positions follow from Bragg's law for the DFT cell and can differ from measured ones.

Cell and atoms:
abc: 3.162 3.162 8.744
angles: 90.00 90.00 90.00
Space group P-4m2 (No. 115)
Symmetry-distinct sites (fractional):
1 Be 0.000 0.000 0.000 [1 per cell]
2 Be 0.000 0.000 0.500 [1 per cell]
3 Pt 0.500 0.500 0.150 [2 per cell]
4 S 0.000 0.500 0.645 [2 per cell]

Main lines, low angle first (2θ = 10–80°):
2θ/deg  intensity  hkl
10.1  100  0 0 1
28.2  83  1 0 0
30.0  56  1 0 1
40.3  26  1 1 0
41.7  30  1 1 1
42.2  56  1 0 3
50.8  26  1 0 4
51.5  42  1 1 3

No. 2
For Ba3SmGa2O8, a structure optimized by DFT (PBE) gives the computed powder diffraction line list in this record (copper Kα).
Peak positions follow from Bragg's law for the DFT cell and can differ from measured ones.

Cell and atoms:
abc: 6.0787 6.0787 7.6783
angles: 90.00 90.00 120.00
Space group P-3m1 (No. 164)
Symmetry-distinct sites (fractional):
1 Ba 0.0000 0.0000 0.0000 [1 per cell]
2 Ba 0.3333 0.6667 0.6552 [2 per cell]
3 Sm 0.0000 0.0000 0.5000 [1 per cell]
4 Ga 0.3333 0.6667 0.2157 [2 per cell]
5 O 0.1711 0.3421 0.3145 [6 per cell]
6 O 0.3333 0.6667 0.9788 [2 per cell]

Main lines, low angle first (2θ = 10–80°):
2θ/deg  intensity  hkl
28.8  84  0 1 2
29.4  100  1 1 0
41.6  44  2 0 2
50.6  14  1 0 4
51.7  33  1 2 2
52.1  20  3 0 0
61.0  16  2 2 0
68.8  15  3 1 2

No. 3
For La3Sm6Tm2, a structure optimized by DFT (PBE) gives the computed powder diffraction line list in this record (copper Kα).
Peak positions follow from Bragg's law for the DFT cell and can differ from measured ones.

Cell and atoms:
abc: 3.6310 3.6310 97.9429
angles: 90.00 90.00 120.00
Space group R-3m (No. 166, hexagonal axes)
Symmetry-distinct sites (fractional):
1 La 0.0000 0.0000 0.0000 [3 per cell]
2 La 0.0000 0.0000 0.2715 [6 per cell]
3 Sm 0.0000 0.0000 0.0930 [6 per cell]
4 Sm 0.0000 0.0000 0.1818 [6 per cell]
5 Sm 0.0000 0.0000 0.3643 [6 per cell]
6 Tm 0.0000 0.0000 0.4556 [6 per cell]

Main lines, low angle first (2θ = 10–80°):
2θ/deg  intensity  hkl
30.1  100  0 1 11
34.9  50  1 0 22
36.6  1  1 0 25
50.2  35  1 1 0
52.7  1  0 1 47
59.7  41  2 0 11
62.7  12  0 2 22
73.8  5  2 0 44

No. 4
For Ca6Ag3Ge5, a structure optimized by DFT (PBE) gives the computed powder diffraction line list in this record (copper Kα).
Peak positions follow from Bragg's law for the DFT cell and can differ from measured ones.

Cell and atoms:
abc: 10.945 4.557 14.439
angles: 90.00 109.81 90.00
Space group Cm (No. 8)
Symmetry-distinct sites (fractional):
1 Ca 0.000 0.000 0.000 [2 per cell]
2 Ca 0.023 0.500 0.549 [2 per cell]
3 Ca 0.158 0.500 0.851 [2 per cell]
4 Ca 0.224 0.500 0.391 [2 per cell]
5 Ca 0.295 0.500 0.154 [2 per cell]
6 Ca 0.365 0.500 0.698 [2 per cell]
7 Ag 0.005 0.500 0.160 [2 per cell]
8 Ag 0.027 0.000 0.385 [2 per cell]
9 Ag 0.377 0.000 0.316 [2 per cell]
10 Ge 0.123 0.000 0.229 [2 per cell]
11 Ge 0.157 0.000 0.700 [2 per cell]
12 Ge 0.236 0.000 0.551 [2 per cell]
13 Ge 0.286 0.000 0.000 [2 per cell]
14 Ge 0.369 0.000 0.850 [2 per cell]

Main lines, low angle first (2θ = 10–80°):
2θ/deg  intensity  hkl
16.2  41  2 0 -1
21.3  51  1 1 0
31.1  56  1 1 3
31.6  59  1 1 -4
36.1  40  3 1 -4
38.6  100  3 1 2
39.5  61  0 2 0
39.8  27  0 0 6